Structure and computed X-ray diffraction stick pattern of Pa2Pt2Rh (a crystal structure in Alexandria, relaxed with GGA-PBE; Cu Ka).
No peak broadening, texture or thermal motion is included.

Largest 10 diffraction maxima, low angle first, 10 to 80 degrees two-theta:
- hkl 1 0 0, d = 4.073 Å, I = 9.3
- hkl 1 0 1, d = 3.296 Å, I = 51.1
- hkl 1 1 0, d = 2.351 Å, I = 100.0
- hkl 1 0 2, d = 2.310 Å, I = 95.9
- hkl 2 0 1, d = 1.914 Å, I = 11.7
- hkl 2 0 2, d = 1.648 Å, I = 34.4
- hkl 2 1 1, d = 1.484 Å, I = 10.6
- hkl 3 0 0, d = 1.358 Å, I = 18.0
- hkl 2 1 2, d = 1.349 Å, I = 35.6
- hkl 1 1 4, d = 1.204 Å, I = 24.7

Crystal structure
a b c (Å): 4.7029 4.7029 5.6098
angles (deg): 90.00 90.00 120.00
Space group P-6m2 (No. 187)
One atom of each set of equivalent atoms:
Pa: 0.0000 0.0000 0.0000 [1 per cell]
Pa: 0.3333 0.6667 0.5000 [1 per cell]
Pt: 0.6667 0.3333 0.2484 [2 per cell]
Rh: 0.0000 0.0000 0.5000 [1 per cell]